Starting from a DFT-relaxed cell (GGA+U, Alexandria), the XRD peak list of MgCo4O9 was computed for a wavelength of 1.5418 Å.
Lines closer than 0.1° are merged.

Atomic structure:
```
data_MgCo4O9
_cell_length_a 8.1746
_cell_length_b 4.8263
_cell_length_c 11.5287
_cell_angle_alpha 90.00
_cell_angle_beta 134.69
_cell_angle_gamma 90.00
_symmetry_space_group_name_H-M 'P 1 2/c 1'
_symmetry_Int_Tables_number 13
loop_
_symmetry_equiv_pos_as_xyz
'x,y,z'
'-x,-y,-z'
'-x,y,-z+1/2'
'x,-y,z+1/2'
loop_
_atom_site_label
_atom_site_type_symbol
_atom_site_fract_x
_atom_site_fract_y
_atom_site_fract_z
Mg1 Mg 0.0000 0.1469 0.2500
Co1 Co 0.1955 0.3759 0.0340
Co2 Co 0.3740 0.3874 0.8383
O1 O 0.1027 0.4444 0.1477
O2 O 0.1574 0.0495 0.9738
O3 O 0.3019 0.0575 0.8166
O4 O 0.3132 0.4369 0.4574
O5 O 0.5000 0.4868 0.2500
```

Principal peaks in the range 2θ from 10° to 90°, by intensity:
- (0 1 0), 18.38 deg, I 100
- (2 1 -3), 30.74 deg, I 78
- (1 1 1), 30.57 deg, I 65
- (3 0 -2), 34.59 deg, I 39
- (1 0 -4), 34.72 deg, I 35
- (1 2 1), 44.95 deg, I 26
- (1 1 0), 24.00 deg, I 23
- (4 0 -6), 50.04 deg, I 22
- (2 0 2), 49.60 deg, I 22
- (2 3 -3), 63.13 deg, I 20